No. 1
Starting from the GGA-PBE geometry in Alexandria, the PXRD pattern of PmEr2I8 was computed for Cu Kα X-rays.
Neutral-atom scattering factors, no anomalous dispersion.

Crystal structure
```
11
Lattice="7.578 -5.531 0.000 7.578 5.531 0.000 -0.201 0.000 7.321" Properties=species:S:1:pos:R:3 pbc="T T T"
Pm 0.000 0.000 0.000
Er 2.600 0.000 4.693
Er 12.356 0.000 2.628
I 6.303 3.227 1.750
I 2.669 0.000 1.762
I 8.653 3.227 5.571
I 5.282 0.000 5.499
I 9.673 0.000 1.822
I 6.303 -3.227 1.750
I 12.286 0.000 5.559
I 8.653 -3.227 5.571
```

Principal peaks in the range 2θ = 5–70°, by angle:
d [Å]	2θ/deg	I (rel.)
8.934	9.90	75.5
5.531	16.02	31.9
4.467	19.87	33.6
3.843	23.14	100.0
3.660	24.32	34.4
2.854	31.34	38.8
2.766	32.37	29.5
2.342	38.45	26.4
2.297	39.22	37.2
2.127	42.50	26.9

---

No. 2
Starting from the GGA-PBE geometry in Alexandria, the PXRD pattern of Er7PtI12 was computed for Cu Kα X-rays.
Neutral-atom scattering factors, no anomalous dispersion.

Crystal structure
```
20
Lattice="7.832 4.522 3.558 -7.832 4.522 3.558 0.000 -9.043 3.558" Properties=species:S:1:pos:R:3 pbc="T T T"
Er 0.000 0.000 0.000
Er -2.125 -0.592 3.793
Er 1.575 -1.545 3.793
Er 0.550 2.136 3.793
Er -0.550 -2.136 6.880
Er -1.575 1.545 6.880
Er 2.125 0.592 6.880
Pt 0.000 0.000 5.336
I -0.612 -2.445 1.710
I -1.811 1.753 1.710
I -3.103 -3.143 5.246
I -4.274 1.116 5.427
I 2.424 0.692 1.710
I 1.171 -4.259 5.427
I -1.171 4.259 5.246
I -2.424 -0.692 8.963
I 4.274 -1.116 5.246
I 3.103 3.143 5.427
I 1.811 -1.753 8.963
I 0.612 2.445 8.963
```

Principal peaks in the range 2θ = 5–70°, by angle:
d [Å]	2θ/deg	I (rel.)
8.388	10.55	17.0
7.832	11.30	38.1
3.550	25.08	12.0
3.075	29.04	100.0
2.688	33.33	5.9
2.174	41.53	71.2
1.774	51.51	17.2
1.537	60.19	11.0
1.376	68.14	12.5
1.374	68.26	13.3

---

No. 3
Starting from the GGA-PBE geometry in Alexandria, the PXRD pattern of Er2RhI was computed for Cu Kα X-rays.
Neutral-atom scattering factors, no anomalous dispersion.

Crystal structure
```
4
Lattice="2.020 1.166 7.883 -2.020 1.166 7.883 0.000 -2.332 7.883" Properties=species:S:1:pos:R:3 pbc="T T T"
Er 0.000 0.000 5.365
Er 0.000 0.000 18.283
Rh 0.000 0.000 11.824
I 0.000 0.000 0.000
```

Principal peaks in the range 2θ = 5–70°, by angle:
d [Å]	2θ/deg	I (rel.)
7.883	11.22	17.7
3.011	29.67	100.0
2.812	31.82	18.4
2.628	34.12	10.2
2.430	36.99	14.8
2.258	39.93	22.8
2.020	44.88	39.3
1.832	49.78	9.0
1.677	54.73	17.8
1.601	57.56	13.8

---

No. 4
Starting from the GGA-PBE geometry in Alexandria, the PXRD pattern of Er3RuI3 was computed for Cu Kα X-rays.
Neutral-atom scattering factors, no anomalous dispersion.

Crystal structure
```
14
Lattice="8.810 0.000 0.000 0.000 4.212 0.000 -0.805 0.000 12.276" Properties=species:S:1:pos:R:3 pbc="T T T"
Er 0.602 1.053 3.811
Er 0.497 1.053 10.725
Er 2.145 3.159 1.245
Er 5.860 1.053 11.031
Er 7.508 3.159 1.551
Er 7.404 3.159 8.465
Ru 0.361 1.053 1.101
Ru 7.644 3.159 11.175
I 0.754 1.053 7.469
I 2.789 3.159 4.445
I 3.077 3.159 10.642
I 4.929 1.053 1.634
I 5.217 1.053 7.831
I 7.252 3.159 4.806
```

Principal peaks in the range 2θ = 5–70°, by angle:
d [Å]	2θ/deg	I (rel.)
12.276	7.20	72.4
8.791	10.06	60.0
3.069	29.10	50.0
3.041	29.37	100.0
2.984	29.95	17.6
2.935	30.46	21.2
2.921	30.60	17.9
2.211	40.82	41.0
2.106	42.94	32.1
1.736	52.72	21.6

---

No. 5
Starting from the GGA-PBE geometry in Alexandria, the PXRD pattern of ErS6I2 was computed for Cu Kα X-rays.
Neutral-atom scattering factors, no anomalous dispersion.

Crystal structure
```
9
Lattice="4.360 0.000 0.000 -0.429 8.937 0.000 -0.422 -4.265 7.977" Properties=species:S:1:pos:R:3 pbc="T T T"
Er 0.000 0.000 0.000
S -0.148 1.475 5.816
S -0.087 4.321 3.669
S 0.316 1.386 2.335
S 3.193 3.286 5.642
S 3.596 0.351 4.308
S 3.657 3.197 2.161
I 1.725 7.177 1.166
I 1.784 -2.506 6.811
```

Principal peaks in the range 2θ = 5–70°, by angle:
d [Å]	2θ/deg	I (rel.)
7.977	11.09	95.5
7.881	11.23	100.0
7.712	11.47	93.7
4.622	19.20	94.9
3.783	23.51	52.7
3.201	27.87	65.5
3.187	27.99	50.7
3.064	29.14	34.1
3.014	29.64	43.9
2.883	31.02	43.8

---

No. 6
Starting from the GGA-PBE geometry in Alexandria, the PXRD pattern of Er2SeI3 was computed for Cu Kα X-rays.
Neutral-atom scattering factors, no anomalous dispersion.

Crystal structure
```
12
Lattice="10.767 -2.087 0.000 10.767 2.087 0.000 -10.159 0.000 10.832" Properties=species:S:1:pos:R:3 pbc="T T T"
Er -3.077 0.000 5.067
Er 6.185 0.000 1.870
Er 5.190 0.000 8.962
Er 14.452 0.000 5.765
Se -4.720 0.000 7.376
Se 16.095 0.000 3.456
I 3.547 0.000 0.231
I 2.164 0.000 4.130
I 2.438 0.000 7.818
I 8.937 0.000 3.015
I 9.211 0.000 6.702
I 7.828 0.000 10.601
```

Principal peaks in the range 2θ = 5–70°, by angle:
d [Å]	2θ/deg	I (rel.)
10.763	8.21	100.0
7.425	11.92	20.7
3.578	24.88	28.4
3.547	25.11	30.9
3.070	29.08	34.2
2.735	32.75	42.0
2.471	36.36	20.9
2.195	41.11	18.7
2.087	43.36	21.2
2.055	44.08	23.1

---

No. 7
Starting from the GGA-PBE geometry in Alexandria, the PXRD pattern of SrErTlI6 was computed for Cu Kα X-rays.
Neutral-atom scattering factors, no anomalous dispersion.

Crystal structure
```
18
Lattice="8.178 0.000 0.000 -4.089 7.083 0.000 0.000 0.000 14.973" Properties=species:S:1:pos:R:3 pbc="T T T"
Sr 0.000 4.722 3.743
Sr 4.089 2.361 11.230
Er 0.000 4.722 11.230
Er 4.089 2.361 3.743
Tl 0.000 0.000 0.000
Tl 0.000 0.000 7.487
I -1.326 2.656 9.456
I -2.452 4.606 13.004
I 1.326 2.656 13.004
I -1.126 6.902 9.456
I 2.963 0.180 1.969
I 1.637 2.476 5.517
I 2.452 4.606 9.456
I 1.126 6.902 13.004
I 5.215 0.180 5.517
I 2.764 4.426 1.969
I 6.541 2.476 1.969
I 5.415 4.426 5.517
```

Principal peaks in the range 2θ = 5–70°, by angle:
d [Å]	2θ/deg	I (rel.)
5.145	17.24	67.0
3.589	24.81	100.0
3.201	27.87	18.9
2.761	32.43	85.9
2.521	35.62	28.6
2.361	38.12	54.8
2.130	42.43	23.4
1.794	50.89	21.3
1.466	63.43	23.5
1.429	65.32	18.6

---

No. 8
Starting from the GGA-PBE geometry in Alexandria, the PXRD pattern of ErThI was computed for Cu Kα X-rays.
Neutral-atom scattering factors, no anomalous dispersion.

Crystal structure
```
6
Lattice="2.708 1.564 7.759 -2.708 1.564 7.759 0.000 -3.127 7.759" Properties=species:S:1:pos:R:3 pbc="T T T"
Er 0.000 0.000 2.968
Er 0.000 0.000 20.310
Th 0.000 0.000 6.721
Th 0.000 0.000 16.557
I 0.000 0.000 9.889
I 0.000 0.000 13.389
```

Principal peaks in the range 2θ = 5–70°, by angle:
d [Å]	2θ/deg	I (rel.)
4.351	20.41	10.8
3.304	26.98	17.6
2.710	33.05	100.0
2.095	43.19	5.2
1.917	47.44	16.9
1.657	55.46	5.1
1.577	58.53	6.4
1.567	58.93	5.4
1.564	59.06	28.1
1.354	69.41	6.4

---

No. 9
Starting from the GGA-PBE geometry in Alexandria, the PXRD pattern of Er2TlI2 was computed for Cu Kα X-rays.
Neutral-atom scattering factors, no anomalous dispersion.

Crystal structure
```
5
Lattice="2.074 1.197 11.960 -2.074 1.197 11.960 0.000 -2.395 11.960" Properties=species:S:1:pos:R:3 pbc="T T T"
Er 0.000 0.000 4.056
Er 0.000 0.000 31.824
Tl 0.000 0.000 17.940
I 0.000 0.000 9.881
I 0.000 0.000 25.999
```

Principal peaks in the range 2θ = 5–70°, by angle:
d [Å]	2θ/deg	I (rel.)
11.960	7.39	88.8
3.212	27.77	100.0
2.804	31.92	44.5
2.539	35.36	21.2
2.189	41.25	41.3
2.074	43.64	38.7
1.993	45.50	11.0
1.742	52.52	17.3
1.505	61.61	12.7
1.437	64.88	22.9

---

No. 10
Starting from the GGA-PBE geometry in Alexandria, the PXRD pattern of ErTlI4 was computed for Cu Kα X-rays.
Neutral-atom scattering factors, no anomalous dispersion.

Crystal structure
```
6
Lattice="7.531 -2.241 0.000 7.531 2.241 0.000 -1.855 0.000 8.536" Properties=species:S:1:pos:R:3 pbc="T T T"
Er 0.000 0.000 0.000
Tl 6.604 0.000 4.268
I 1.241 0.000 2.696
I 5.596 0.000 0.837
I 7.611 0.000 7.699
I 11.966 0.000 5.840
```

Principal peaks in the range 2θ = 5–70°, by angle:
d [Å]	2θ/deg	I (rel.)
7.359	12.03	76.6
3.931	22.62	35.2
3.393	26.27	48.8
3.246	27.48	100.0
2.484	36.16	14.3
2.442	36.81	31.2
2.354	38.24	17.3
2.260	39.89	36.3
2.241	40.23	19.1
1.870	48.69	18.1

---

No. 11
Starting from the GGA-PBE geometry in Alexandria, the PXRD pattern of YErI5 was computed for Cu Kα X-rays.
Neutral-atom scattering factors, no anomalous dispersion.

Crystal structure
```
14
Lattice="9.515 0.000 0.000 0.000 4.094 0.000 -0.064 0.000 15.550" Properties=species:S:1:pos:R:3 pbc="T T T"
Y 0.815 1.023 2.194
Y 8.635 3.070 13.356
Er 3.315 3.070 4.935
Er 6.136 1.023 10.615
I 0.253 3.070 4.506
I 1.241 1.023 14.471
I 2.671 1.023 7.083
I 3.123 3.070 1.831
I 3.943 3.070 11.145
I 5.508 1.023 4.405
I 6.328 1.023 13.719
I 6.780 3.070 8.467
I 8.210 3.070 1.079
I 9.197 1.023 11.044
```

Principal peaks in the range 2θ = 5–70°, by angle:
d [Å]	2θ/deg	I (rel.)
8.130	10.88	100.0
4.060	21.89	25.5
3.498	25.47	23.7
3.384	26.34	53.0
3.106	28.74	83.7
3.044	29.34	40.9
2.819	31.74	33.0
2.476	36.28	34.0
2.398	37.50	29.4
2.194	41.15	23.1

---

No. 12
Starting from the GGA-PBE geometry in Alexandria, the PXRD pattern of Er2In3 was computed for Cu Kα X-rays.
Neutral-atom scattering factors, no anomalous dispersion.

Crystal structure
```
5
Lattice="2.525 1.458 5.950 -2.525 1.458 5.950 0.000 -2.916 5.950" Properties=species:S:1:pos:R:3 pbc="T T T"
Er 0.000 0.000 1.848
Er 0.000 0.000 16.001
In 0.000 0.000 5.487
In 0.000 0.000 8.924
In 0.000 0.000 12.362
```

Principal peaks in the range 2θ = 5–70°, by angle:
d [Å]	2θ/deg	I (rel.)
4.248	20.91	2.5
3.124	28.58	5.6
2.766	32.37	100.0
2.525	35.55	79.7
1.865	48.84	31.3
1.653	55.61	19.6
1.560	59.24	3.6
1.500	61.85	30.5
1.458	63.84	14.2
1.383	67.77	10.7